Diffraction record for Al2FeCu5. The powder XRD pattern is calculated, not measured: it uses a crystal structure in OQMD, relaxed with PBE and CuKα.

The 8 most intense peaks (10 to 90 degrees two-theta), most intense first:
- 2θ = 43.95°, rel. 100
- 2θ = 45.22°, rel. 46
- 2θ = 82.61°, rel. 28
- 2θ = 79.89°, rel. 15
- 2θ = 65.88°, rel. 14
- 2θ = 26.74°, rel. 10
- 2θ = 61.89°, rel. 8
- 2θ = 31.55°, rel. 5

Structural model:
```
16
Lattice="-2.836 2.836 5.997 2.836 -2.836 5.997 2.836 2.836 -5.997" Properties=species:S:1:pos:R:3 pbc="T T T"
Al 2.836 1.418 -1.534
Al 0.000 1.418 1.464
Al 2.836 1.418 4.533
Al 0.000 1.418 7.531
Fe 2.836 -1.418 4.497
Fe 0.000 4.253 1.499
Cu 1.426 0.000 0.000
Cu 4.245 0.000 0.000
Cu 1.418 2.844 -2.998
Cu 1.418 0.009 2.998
Cu 2.836 1.418 1.499
Cu 1.426 2.836 0.000
Cu 1.409 0.000 5.997
Cu 0.000 1.418 4.497
Cu -1.418 2.827 2.998
Cu 1.418 2.827 2.998
```

=====

Diffraction record for Mo5N6. The powder XRD pattern is calculated, not measured: it uses a crystal structure in OQMD, relaxed with PBE and CuKα.

The 8 most intense peaks (10 to 90 degrees two-theta), most intense first:
- 2θ = 49.50°, rel. 100
- 2θ = 36.75°, rel. 89
- 2θ = 31.99°, rel. 35
- 2θ = 66.18°, rel. 23
- 2θ = 26.39°, rel. 21
- 2θ = 86.95°, rel. 20
- 2θ = 78.82°, rel. 20
- 2θ = 75.41°, rel. 19

Structural model:
```
22
Lattice="4.891 0.000 0.000 -2.446 4.236 0.000 0.000 0.000 11.191" Properties=species:S:1:pos:R:3 pbc="T T T"
Mo 0.000 0.000 0.000
Mo 0.000 0.000 5.595
Mo 0.000 2.824 0.000
Mo 0.000 2.824 2.798
Mo 0.000 2.824 5.595
Mo 0.000 2.824 8.393
Mo 2.446 1.412 0.000
Mo 2.446 1.412 2.798
Mo 2.446 1.412 5.595
Mo 2.446 1.412 8.393
N -0.829 1.436 1.399
N -0.829 1.436 4.196
N -1.616 2.800 6.995
N -1.616 2.800 9.792
N 1.658 0.000 1.399
N 1.658 0.000 4.196
N 0.829 1.436 6.995
N 0.829 1.436 9.792
N 3.233 0.000 6.995
N 3.233 0.000 9.792
N 1.616 2.800 1.399
N 1.616 2.800 4.196
```

=====

Diffraction record for YLuInTe3. The powder XRD pattern is calculated, not measured: it uses a crystal structure in OQMD, relaxed with PBE and CuKα.

The 8 most intense peaks (10 to 90 degrees two-theta), most intense first:
- 2θ = 27.22°, rel. 100
- 2θ = 29.70°, rel. 74
- 2θ = 40.72°, rel. 66
- 2θ = 28.23°, rel. 52
- 2θ = 38.01°, rel. 31
- 2θ = 52.76°, rel. 30
- 2θ = 42.57°, rel. 29
- 2θ = 58.36°, rel. 26

Structural model:
```
12
Lattice="2.124 -7.724 0.000 2.124 7.724 0.000 0.000 0.000 12.034" Properties=species:S:1:pos:R:3 pbc="T T T"
Y 2.124 6.195 9.025
Y 2.124 -6.195 3.008
Lu 2.124 0.000 0.000
Lu 2.124 0.000 6.017
In 2.124 4.151 3.008
In 2.124 -4.151 9.025
Te 2.124 5.547 6.132
Te 2.124 5.547 11.919
Te 2.124 0.643 9.025
Te 2.124 -0.643 3.008
Te 2.124 -5.547 0.115
Te 2.124 -5.547 5.902
```

=====

Diffraction record for Y2Al4NiPt. The powder XRD pattern is calculated, not measured: it uses a crystal structure in OQMD, relaxed with PBE and CuKα.

The 8 most intense peaks (10 to 90 degrees two-theta), most intense first:
- 2θ = 36.35°, rel. 100
- 2θ = 34.82°, rel. 69
- 2θ = 37.25°, rel. 52
- 2θ = 25.68°, rel. 51
- 2θ = 23.11°, rel. 42
- 2θ = 26.48°, rel. 34
- 2θ = 43.63°, rel. 29
- 2θ = 52.56°, rel. 28

Structural model:
```
8
Lattice="6.938 0.000 0.000 0.000 2.075 5.149 0.000 -2.075 5.149" Properties=species:S:1:pos:R:3 pbc="T T T"
Y 0.000 0.000 0.000
Y 3.469 0.000 1.333
Al 1.311 0.000 7.356
Al 2.054 0.000 4.221
Al 4.885 0.000 4.221
Al 5.627 0.000 7.356
Ni 0.000 0.000 2.850
Pt 3.469 0.000 8.738
```